Entry 1:
For K4RbNaHg2, DFT lattice parameters and positions (PBE) gives the theoretical XRD peak list in this record (Cu Ka).
Kinematic intensities with the Lorentz-polarization factor, no thermal factor.

Top 10 peaks for 10° ≤ 2θ ≤ 90°, low angle first:
| Position (°2θ) | I/Imax |
| --- | --- |
| 12.68 | 72 |
| 15.61 | 100 |
| 17.97 | 48 |
| 22.22 | 32 |
| 25.52 | 87 |
| 30.05 | 43 |
| 30.31 | 25 |
| 36.40 | 34 |
| 37.80 | 39 |
| 47.28 | 26 |

Structure:
Lattice parameters (Å, degrees): 6.981 6.981 9.761 90.00 90.00 90.00
Positions (direct):
K  0.000  0.500  0.219
K  0.000  0.500  0.781
K  0.500  0.000  0.219
K  0.500  0.000  0.781
Rb  0.000  0.000  0.500
Na  0.000  0.000  0.000
Hg  0.500  0.500  0.152
Hg  0.500  0.500  0.848

=====

Entry 2:
For PmBiPtRh, DFT lattice parameters and positions (PBE) gives the theoretical XRD peak list in this record (Cu Ka).
Kinematic intensities with the Lorentz-polarization factor, no thermal factor.

Top 10 peaks for 10° ≤ 2θ ≤ 90°, low angle first:
| Position (°2θ) | I/Imax |
| --- | --- |
| 22.01 | 6 |
| 36.33 | 100 |
| 42.89 | 3 |
| 52.32 | 18 |
| 57.43 | 2 |
| 65.37 | 37 |
| 69.89 | 1 |
| 77.15 | 11 |
| 81.40 | 1 |
| 88.40 | 17 |

Structure:
Lattice parameters (Å, degrees): 6.994 6.994 6.994 90.00 90.00 90.00
Positions (direct):
Pm  0.000  0.000  0.000
Pm  0.000  0.500  0.500
Pm  0.500  0.000  0.500
Pm  0.500  0.500  0.000
Bi  0.000  0.000  0.500
Bi  0.000  0.500  0.000
Bi  0.500  0.000  0.000
Bi  0.500  0.500  0.500
Pt  0.250  0.250  0.750
Pt  0.250  0.750  0.250
Pt  0.750  0.250  0.250
Pt  0.750  0.750  0.750
Rh  0.250  0.250  0.250
Rh  0.250  0.750  0.750
Rh  0.750  0.250  0.750
Rh  0.750  0.750  0.250

=====

Entry 3:
For NpPaAl6, DFT lattice parameters and positions (PBE) gives the theoretical XRD peak list in this record (Cu Ka).
Kinematic intensities with the Lorentz-polarization factor, no thermal factor.

Top 10 peaks for 10° ≤ 2θ ≤ 90°, low angle first:
| Position (°2θ) | I/Imax |
| --- | --- |
| 16.54 | 34 |
| 25.29 | 100 |
| 28.86 | 47 |
| 33.44 | 18 |
| 38.53 | 17 |
| 38.74 | 74 |
| 48.85 | 23 |
| 49.02 | 30 |
| 65.95 | 16 |
| 73.41 | 15 |

Structure:
Lattice parameters (Å, degrees): 6.188 6.188 4.673 90.00 90.00 120.00
Positions (direct):
Np  0.000  0.000  0.000
Pa  0.333  0.667  0.500
Al  0.361  0.181  0.500
Al  0.516  0.033  0.000
Al  0.516  0.484  0.000
Al  0.819  0.181  0.500
Al  0.819  0.639  0.500
Al  0.967  0.484  0.000

=====

Entry 4:
For Tb2Ho2Al4Cu, DFT lattice parameters and positions (PBE) gives the theoretical XRD peak list in this record (Cu Ka).
Kinematic intensities with the Lorentz-polarization factor, no thermal factor.

Top 10 peaks for 10° ≤ 2θ ≤ 90°, low angle first:
| Position (°2θ) | I/Imax |
| --- | --- |
| 18.38 | 48 |
| 27.53 | 68 |
| 33.31 | 100 |
| 37.25 | 24 |
| 39.33 | 48 |
| 43.74 | 22 |
| 46.95 | 26 |
| 55.29 | 30 |
| 56.84 | 16 |
| 67.50 | 26 |

Structure:
Lattice parameters (Å, degrees): 6.655 6.655 6.655 121.74 121.74 87.01
Positions (direct):
Tb  0.225  0.225  0.000
Tb  0.775  0.775  0.000
Ho  0.250  0.750  0.500
Ho  0.750  0.250  0.500
Al  0.234  0.234  0.467
Al  0.234  0.766  0.000
Al  0.766  0.234  0.000
Al  0.766  0.766  0.533
Cu  0.500  0.500  0.000

=====

Entry 5:
For Pb3IF5, DFT lattice parameters and positions (PBE) gives the theoretical XRD peak list in this record (Cu Ka).
Kinematic intensities with the Lorentz-polarization factor, no thermal factor.

Top 10 peaks for 10° ≤ 2θ ≤ 90°, low angle first:
| Position (°2θ) | I/Imax |
| --- | --- |
| 23.67 | 36 |
| 24.60 | 64 |
| 26.11 | 75 |
| 28.08 | 46 |
| 30.46 | 100 |
| 31.15 | 33 |
| 40.91 | 30 |
| 41.05 | 41 |
| 42.64 | 26 |
| 46.14 | 27 |

Structure:
Lattice parameters (Å, degrees): 4.398 4.398 22.969 90.00 90.00 119.79
Positions (direct):
Pb  0.056  0.944  0.500
Pb  0.327  0.673  0.126
Pb  0.348  0.652  0.346
Pb  0.652  0.348  0.846
Pb  0.673  0.327  0.626
Pb  0.944  0.056  0.000
I  0.312  0.688  0.750
I  0.688  0.312  0.250
F  0.019  0.981  0.372
F  0.025  0.975  0.118
F  0.284  0.716  0.577
F  0.333  0.667  0.448
F  0.334  0.666  0.022
F  0.666  0.334  0.522
F  0.667  0.333  0.948
F  0.716  0.284  0.077
F  0.975  0.025  0.618
F  0.981  0.019  0.872

=====

Entry 6:
For YTm4Ga15, DFT lattice parameters and positions (PBE) gives the theoretical XRD peak list in this record (Cu Ka).
Kinematic intensities with the Lorentz-polarization factor, no thermal factor.

Top 10 peaks for 10° ≤ 2θ ≤ 90°, low angle first:
| Position (°2θ) | I/Imax |
| --- | --- |
| 20.92 | 14 |
| 29.75 | 12 |
| 36.65 | 100 |
| 42.51 | 33 |
| 42.71 | 16 |
| 61.69 | 11 |
| 61.84 | 21 |
| 73.95 | 25 |
| 74.22 | 12 |
| 77.93 | 11 |

Structure:
Lattice parameters (Å, degrees): 4.253 4.253 21.171 90.00 90.00 90.00
Positions (direct):
Y  0.000  0.000  0.000
Tm  0.000  0.000  0.201
Tm  0.000  0.000  0.400
Tm  0.000  0.000  0.600
Tm  0.000  0.000  0.799
Ga  0.000  0.500  0.102
Ga  0.000  0.500  0.301
Ga  0.000  0.500  0.500
Ga  0.000  0.500  0.699
Ga  0.000  0.500  0.898
Ga  0.500  0.000  0.102
Ga  0.500  0.000  0.301
Ga  0.500  0.000  0.500
Ga  0.500  0.000  0.699
Ga  0.500  0.000  0.898
Ga  0.500  0.500  0.000
Ga  0.500  0.500  0.201
Ga  0.500  0.500  0.401
Ga  0.500  0.500  0.599
Ga  0.500  0.500  0.799